For Ba2CoC2O6F2, DFT lattice parameters and positions (GGA+U) gives the computed powder XRD pattern in this record (Cu Kα, 1.54184 Å).
No peak broadening, texture or thermal motion is included.

Crystal structure
Unit cell a=6.899 b=11.715 c=8.952 alpha=90.00 beta=90.00 gamma=90.00
Sites, in units of the cell vectors:
Ba1 0.021 0.178 0.107
Ba2 0.021 0.322 0.607
Ba3 0.479 0.678 0.107
Ba4 0.479 0.822 0.607
Ba5 0.521 0.178 0.393
Ba6 0.521 0.322 0.893
Ba7 0.979 0.678 0.393
Ba8 0.979 0.822 0.893
Co1 0.000 0.000 0.500
Co2 0.000 0.500 0.000
Co3 0.500 0.000 0.000
Co4 0.500 0.500 0.500
C1 0.240 0.591 0.736
C2 0.240 0.909 0.236
C3 0.260 0.091 0.736
C4 0.260 0.409 0.236
C5 0.740 0.591 0.764
C6 0.740 0.909 0.264
C7 0.760 0.091 0.764
C8 0.760 0.409 0.264
O1 0.154 0.504 0.796
O2 0.154 0.996 0.296
O3 0.201 0.176 0.813
O4 0.201 0.324 0.313
O5 0.234 0.091 0.590
O6 0.234 0.409 0.090
O7 0.266 0.591 0.590
O8 0.266 0.909 0.090
O9 0.299 0.676 0.813
O10 0.299 0.824 0.313
O11 0.346 0.004 0.796
O12 0.346 0.496 0.296
O13 0.654 0.504 0.704
O14 0.654 0.996 0.204
O15 0.701 0.176 0.687
O16 0.701 0.324 0.187
O17 0.734 0.091 0.910
O18 0.734 0.409 0.410
O19 0.766 0.591 0.910
O20 0.766 0.909 0.410
O21 0.799 0.676 0.687
O22 0.799 0.824 0.187
O23 0.846 0.004 0.704
O24 0.846 0.496 0.204
F1 0.096 0.654 0.096
F2 0.096 0.846 0.596
F3 0.404 0.154 0.096
F4 0.404 0.346 0.596
F5 0.596 0.654 0.404
F6 0.596 0.846 0.904
F7 0.904 0.154 0.404
F8 0.904 0.346 0.904

Largest 10 diffraction maxima, in order of rising 2θ, 10 to 80 degrees two-theta:
2θ (°)  I/Imax
24.90  88.2
25.83  27.7
28.09  100.0
31.72  43.6
33.71  25.6
42.95  19.9
43.27  37.6
44.99  24.3
46.97  22.7
51.09  28.5